Record 1
Ac6Ir2AuS: computed powder diffractogram (Cu Kα (weighted mean of Kα1 and Kα2)), based on a crystal structure in Alexandria, relaxed with PBE.

Crystal structure
a b c (Å): 7.6263 7.6263 21.2401
angles (deg): 90.00 90.00 120.00
Space group R3 (No. 146, hexagonal axes)
Unique sites:
Ac1 0.0053 0.6335 0.0000 (multiplicity 9)
Ac2 0.0088 0.3522 0.5022 (multiplicity 9)
Ir1 0.0000 0.0000 0.2432 (multiplicity 3)
Ir2 0.0000 0.0000 0.7499 (multiplicity 3)
Au1 0.0000 0.0000 0.9349 (multiplicity 3)
S1 0.0000 0.0000 0.4281 (multiplicity 3)

Peak list (10 most intense, 10 to 90 degrees two-theta, low angle first)
index	Position (°2θ)	d [Å]	Rel. int.
0 1 2	15.80	5.608	199
1 1 3	26.55	3.357	1000
0 2 4	31.91	2.804	119
1 1 6	34.57	2.594	592
3 0 0	41.00	2.202	423
2 -1 9	45.18	2.007	245
4 -2 3	49.51	1.841	162
4 -2 6	54.68	1.679	144
3 0 12	67.95	1.379	160
1 4 6	70.55	1.335	133


Record 2
Ac6Tl3Ir2Au: computed powder diffractogram (Cu Kα (weighted mean of Kα1 and Kα2)), based on a crystal structure in Alexandria, relaxed with PBE.

Crystal structure
a b c (Å): 7.6611 13.0126 8.8379
angles (deg): 90.00 105.24 90.00
Space group C2/m (No. 12)
Unique sites:
Ac1 0.2045 0.0000 0.1885 (multiplicity 4)
Ac2 0.2461 0.3228 0.2075 (multiplicity 8)
Tl1 0.0000 0.0000 0.5000 (multiplicity 2)
Tl2 0.0000 0.3668 0.5000 (multiplicity 4)
Ir1 0.0000 0.1722 0.0000 (multiplicity 4)
Au1 0.0000 0.5000 0.0000 (multiplicity 2)

Peak list (10 most intense, 10 to 90 degrees two-theta, low angle first)
index	Position (°2θ)	d [Å]	Rel. int.
0 0 1	10.37	8.527	120
1 3 1	27.28	3.270	1000
2 0 -2	27.47	3.247	544
2 0 2	36.11	2.488	191
1 3 -3	37.09	2.424	371
3 3 -1	41.02	2.200	364
0 6 0	41.64	2.169	147
4 0 0	49.31	1.848	99
2 6 -2	50.61	1.803	154
2 6 2	56.26	1.635	97